The following is a simulated X-ray powder pattern of Mn3Co2Te3O16. It was derived from a GGA+U-relaxed structure, using Cu Ka.
Intensities are scaled so that the largest is 100.

Atomic structure:
```
Mn3Co2Te3O16
1.0
5.3632 -3.0285 0.0000
5.3632 3.0285 0.0000
-0.1768 0.0000 9.1949
Mn Co Te O
3 2 3 16
direct
0.0000 0.0000 0.0000
0.1657 0.6646 0.5029
0.6646 0.1657 0.5029
0.1549 0.1549 0.6948
0.4839 0.4839 0.2324
0.0006 0.4975 0.0007
0.4975 0.0006 0.0007
0.6634 0.6634 0.4996
0.1504 0.6650 0.1029
0.1880 0.1880 0.1267
0.3120 0.3120 0.8763
0.3195 0.8736 0.8903
0.3531 0.7897 0.3784
0.3555 0.3555 0.3918
0.5073 0.9837 0.6091
0.5086 0.5086 0.6162
0.6650 0.1504 0.1029
0.6753 0.6753 0.1149
0.7897 0.3531 0.3784
0.8146 0.8146 0.8829
0.8221 0.8221 0.3934
0.8736 0.3195 0.8903
0.9837 0.5073 0.6091
0.9856 0.9856 0.6063
```

Main lines, low angle first (2θ = 15–90°):
19.00°, d = 4.671 Å, intensity 25
19.31°, d = 4.596 Å, intensity 100
25.79°, d = 3.455 Å, intensity 15
33.98°, d = 2.638 Å, intensity 23
35.33°, d = 2.540 Å, intensity 30
35.50°, d = 2.529 Å, intensity 33
39.21°, d = 2.297 Å, intensity 24
45.15°, d = 2.008 Å, intensity 18
60.11°, d = 1.539 Å, intensity 18
61.19°, d = 1.515 Å, intensity 19